# 1
Structure and calculated X-ray powder pattern of Y4InSi (DFT lattice parameters and positions (GGA-PBE); CuKα).
Intensities are scaled so that the largest is 100.

Atomic structure:
Cell lengths 5.7364, 6.7392, 8.5951 Å; angles 90.00, 99.46, 90.00 degrees
Space group P2_1/m (No. 11)
Symmetry-distinct sites (fractional):
Y1 0.1515 0.2500 0.0542 (multiplicity 2)
Y2 0.1913 0.7500 0.3629 (multiplicity 2)
Y3 0.3340 0.5079 0.7497 (multiplicity 4)
In1 0.2351 0.2500 0.4220 (multiplicity 2)
Si1 0.3494 0.7500 0.0403 (multiplicity 2)

Largest 10 diffraction maxima, by angle, 2θ = 10–90°:
- 28.3 deg, d = 3.153 Å, I 33, hkl 1 0 2
- 31.3 deg, d = 2.856 Å, I 31, hkl 1 1 2
- 31.6 deg, d = 2.828 Å, I 100, hkl 2 0 -1
- 31.8 deg, d = 2.813 Å, I 80, hkl 1 2 -1
- 33.0 deg, d = 2.713 Å, I 73, hkl 1 0 -3
- 33.5 deg, d = 2.672 Å, I 67, hkl 1 2 1
- 34.0 deg, d = 2.638 Å, I 76, hkl 0 2 2
- 34.4 deg, d = 2.607 Å, I 28, hkl 2 1 -1
- 37.9 deg, d = 2.377 Å, I 33, hkl 1 0 3
- 55.9 deg, d = 1.645 Å, I 29, hkl 3 2 0

---

# 2
Structure and calculated X-ray powder pattern of Y5In2Si2 (DFT lattice parameters and positions (GGA-PBE); CuKα).
Intensities are scaled so that the largest is 100.

Atomic structure:
Cell lengths 15.8261, 7.6626, 7.6687 Å; angles 90.00, 90.00, 90.00 degrees
Space group Cmce (No. 64)
Symmetry-distinct sites (fractional):
Y1 0.0000 0.0000 0.0000 (multiplicity 4)
Y2 0.1245 0.1836 0.3199 (multiplicity 16)
In1 0.2213 0.0000 0.0000 (multiplicity 8)
Si1 0.0000 0.1176 0.6199 (multiplicity 8)

Largest 10 diffraction maxima, by angle, 2θ = 10–90°:
- 26.0 deg, d = 3.427 Å, I 14, hkl 0 2 1
- 31.1 deg, d = 2.875 Å, I 21, hkl 3 1 2
- 32.5 deg, d = 2.753 Å, I 100, hkl 4 2 0
- 32.8 deg, d = 2.733 Å, I 31, hkl 5 1 1
- 33.1 deg, d = 2.710 Å, I 43, hkl 0 2 2
- 34.6 deg, d = 2.591 Å, I 26, hkl 4 2 1
- 37.5 deg, d = 2.396 Å, I 35, hkl 1 3 1
- 53.5 deg, d = 1.714 Å, I 15, hkl 0 2 4
- 58.9 deg, d = 1.569 Å, I 16, hkl 5 3 3
- 65.6 deg, d = 1.423 Å, I 20, hkl 9 3 1

---

# 3
Structure and calculated X-ray powder pattern of ZrIn3Si (DFT lattice parameters and positions (GGA-PBE); CuKα).
Intensities are scaled so that the largest is 100.

Atomic structure:
Cell lengths 5.1117, 5.1117, 5.1117 Å; angles 90.00, 90.00, 90.00 degrees
Space group Pm-3m (No. 221)
Symmetry-distinct sites (fractional):
Zr1 0.0000 0.0000 0.0000 (multiplicity 1)
In1 0.0000 0.5000 0.5000 (multiplicity 3)
Si1 0.5000 0.5000 0.5000 (multiplicity 1)

Largest 10 diffraction maxima, by angle, 2θ = 10–90°:
- 17.3 deg, d = 5.112 Å, I 5, hkl 1 0 0
- 30.3 deg, d = 2.951 Å, I 100, hkl 1 1 1
- 35.1 deg, d = 2.556 Å, I 65, hkl 2 0 0
- 39.4 deg, d = 2.286 Å, I 2, hkl 2 1 0
- 50.5 deg, d = 1.807 Å, I 45, hkl 2 2 0
- 60.0 deg, d = 1.541 Å, I 41, hkl 3 1 1
- 63.0 deg, d = 1.476 Å, I 15, hkl 2 2 2
- 74.2 deg, d = 1.278 Å, I 7, hkl 4 0 0
- 82.2 deg, d = 1.173 Å, I 16, hkl 3 3 1
- 84.8 deg, d = 1.143 Å, I 20, hkl 4 2 0

---

# 4
Structure and calculated X-ray powder pattern of Zr2InSi (DFT lattice parameters and positions (GGA-PBE); CuKα).
Intensities are scaled so that the largest is 100.

Atomic structure:
Cell lengths 3.9291, 3.9830, 5.6207 Å; angles 90.00, 110.39, 90.00 degrees
Space group Pm (No. 6)
Symmetry-distinct sites (fractional):
Zr1 0.0000 0.0000 0.0000 (multiplicity 1)
Zr2 0.2923 0.5000 0.5860 (multiplicity 1)
In1 0.5689 0.5000 0.1380 (multiplicity 1)
Si1 0.7395 0.0000 0.4787 (multiplicity 1)

Largest 10 diffraction maxima, by angle, 2θ = 10–90°:
- 33.1 deg, d = 2.704 Å, I 100, hkl 1 1 -1
- 34.0 deg, d = 2.634 Å, I 25, hkl 0 0 2
- 34.2 deg, d = 2.619 Å, I 34, hkl 1 0 1
- 41.1 deg, d = 2.197 Å, I 26, hkl 0 1 2
- 41.3 deg, d = 2.188 Å, I 46, hkl 1 1 1
- 45.5 deg, d = 1.991 Å, I 20, hkl 0 2 0
- 46.2 deg, d = 1.965 Å, I 20, hkl 2 0 -1
- 58.2 deg, d = 1.585 Å, I 14, hkl 1 2 1
- 63.5 deg, d = 1.465 Å, I 14, hkl 2 1 -3
- 77.2 deg, d = 1.235 Å, I 17, hkl 2 2 1

---

# 5
Structure and calculated X-ray powder pattern of Sm5In2 (DFT lattice parameters and positions (GGA-PBE); CuKα).
Intensities are scaled so that the largest is 100.

Atomic structure:
Cell lengths 16.0853, 5.8356, 9.1467 Å; angles 90.00, 98.07, 90.00 degrees
Space group C2/c (No. 15)
Symmetry-distinct sites (fractional):
Sm1 0.0000 0.2173 0.2500 (multiplicity 4)
Sm2 0.1286 0.2077 0.9548 (multiplicity 8)
Sm3 0.2252 0.3414 0.3209 (multiplicity 8)
In1 0.0791 0.3046 0.5996 (multiplicity 8)

Largest 10 diffraction maxima, by angle, 2θ = 10–90°:
- 28.5 deg, d = 3.132 Å, I 22, hkl 3 1 -2
- 30.6 deg, d = 2.918 Å, I 37, hkl 0 2 0
- 31.9 deg, d = 2.801 Å, I 60, hkl 4 0 2
- 32.3 deg, d = 2.770 Å, I 100, hkl 5 1 -1
- 33.2 deg, d = 2.700 Å, I 99, hkl 1 1 -3
- 34.7 deg, d = 2.588 Å, I 43, hkl 2 2 1
- 44.9 deg, d = 2.021 Å, I 23, hkl 4 2 2
- 49.1 deg, d = 1.856 Å, I 17, hkl 6 0 -4
- 53.2 deg, d = 1.723 Å, I 20, hkl 3 3 -2
- 58.3 deg, d = 1.583 Å, I 18, hkl 3 1 5

---

# 6
Structure and calculated X-ray powder pattern of Sm5In3 (DFT lattice parameters and positions (GGA-PBE); CuKα).
Intensities are scaled so that the largest is 100.

Atomic structure:
Cell lengths 9.1826, 10.0960, 5.0540 Å; angles 90.00, 90.00, 90.00 degrees
Space group Cmmm (No. 65)
Symmetry-distinct sites (fractional):
Sm1 0.0000 0.0000 0.0000 (multiplicity 2)
Sm2 0.2302 0.5000 0.5000 (multiplicity 4)
Sm3 0.2500 0.2500 0.0000 (multiplicity 4)
In1 0.0000 0.2304 0.5000 (multiplicity 4)
In2 0.0000 0.5000 0.0000 (multiplicity 2)

Largest 10 diffraction maxima, by angle, 2θ = 10–90°:
- 31.7 deg, d = 2.819 Å, I 100, hkl 2 2 1
- 35.5 deg, d = 2.526 Å, I 37, hkl 0 0 2
- 39.2 deg, d = 2.296 Å, I 14, hkl 4 0 0
- 51.2 deg, d = 1.786 Å, I 13, hkl 0 4 2
- 54.0 deg, d = 1.699 Å, I 11, hkl 4 0 2
- 54.0 deg, d = 1.698 Å, I 10, hkl 4 4 0
- 61.5 deg, d = 1.509 Å, I 28, hkl 2 2 3
- 66.3 deg, d = 1.410 Å, I 11, hkl 4 4 2
- 66.5 deg, d = 1.407 Å, I 10, hkl 6 2 1
- 88.4 deg, d = 1.105 Å, I 7, hkl 6 2 3

---

# 7
Structure and calculated X-ray powder pattern of Sm3In4 (DFT lattice parameters and positions (GGA-PBE); CuKα).
Intensities are scaled so that the largest is 100.

Atomic structure:
Cell lengths 14.3228, 14.3228, 6.5435 Å; angles 90.00, 90.00, 120.00 degrees
Space group R-3 (No. 148, hexagonal axes)
Symmetry-distinct sites (fractional):
Sm1 0.0481 0.2173 0.2275 (multiplicity 18)
In1 0.0000 0.0000 0.0000 (multiplicity 3)
In2 0.0000 0.0000 0.5000 (multiplicity 3)
In3 0.0566 0.2630 0.7061 (multiplicity 18)

Largest 10 diffraction maxima, by angle, 2θ = 10–90°:
- 28.2 deg, d = 3.164 Å, I 9, hkl 0 1 2
- 29.3 deg, d = 3.045 Å, I 17, hkl 4 -3 1
- 33.1 deg, d = 2.707 Å, I 100, hkl 1 4 0
- 33.4 deg, d = 2.683 Å, I 82, hkl 3 -2 2
- 38.0 deg, d = 2.371 Å, I 11, hkl 3 1 2
- 47.7 deg, d = 1.906 Å, I 24, hkl 4 2 2
- 59.1 deg, d = 1.563 Å, I 11, hkl 6 3 0
- 59.3 deg, d = 1.558 Å, I 18, hkl 0 7 2
- 59.9 deg, d = 1.544 Å, I 11, hkl 9 -4 1
- 65.9 deg, d = 1.418 Å, I 8, hkl 8 1 1

---

# 8
Structure and calculated X-ray powder pattern of Sm8In3 (DFT lattice parameters and positions (GGA-PBE); CuKα).
Intensities are scaled so that the largest is 100.

Atomic structure:
Cell lengths 10.2086, 10.2086, 12.8399 Å; angles 90.00, 90.00, 120.00 degrees
Space group R-3 (No. 148, hexagonal axes)
Symmetry-distinct sites (fractional):
Sm1 0.0000 0.0000 0.1433 (multiplicity 6)
Sm2 0.0319 0.7960 0.6123 (multiplicity 18)
In1 0.0000 0.5000 0.5000 (multiplicity 9)

Largest 10 diffraction maxima, by angle, 2θ = 10–90°:
- 27.2 deg, d = 3.280 Å, I 32, hkl 1 1 3
- 27.6 deg, d = 3.234 Å, I 100, hkl 3 -1 1
- 29.6 deg, d = 3.017 Å, I 39, hkl 1 0 4
- 30.2 deg, d = 2.964 Å, I 43, hkl 3 -2 2
- 40.6 deg, d = 2.220 Å, I 15, hkl 2 0 5
- 41.2 deg, d = 2.192 Å, I 34, hkl 2 2 3
- 46.6 deg, d = 1.949 Å, I 12, hkl 4 -3 4
- 47.1 deg, d = 1.929 Å, I 19, hkl 4 1 0
- 56.1 deg, d = 1.640 Å, I 11, hkl 4 -2 6
- 57.0 deg, d = 1.617 Å, I 9, hkl 6 -2 2

---

# 9
Structure and calculated X-ray powder pattern of Sm7In (DFT lattice parameters and positions (GGA-PBE); CuKα).
Intensities are scaled so that the largest is 100.

Atomic structure:
Cell lengths 10.0741, 10.0741, 10.0741 Å; angles 90.00, 90.00, 90.00 degrees
Space group Fm-3m (No. 225)
Symmetry-distinct sites (fractional):
Sm1 0.0000 0.0000 0.0000 (multiplicity 4)
Sm2 0.0000 0.2500 0.2500 (multiplicity 24)
In1 0.0000 0.0000 0.5000 (multiplicity 4)

Largest 8 diffraction maxima, by angle, 2θ = 10–90°:
- 30.7 deg, d = 2.908 Å, I 100, hkl 2 2 2
- 35.6 deg, d = 2.519 Å, I 51, hkl 4 0 0
- 51.3 deg, d = 1.781 Å, I 36, hkl 4 4 0
- 61.0 deg, d = 1.519 Å, I 42, hkl 6 2 2
- 64.0 deg, d = 1.454 Å, I 12, hkl 4 4 4
- 75.5 deg, d = 1.259 Å, I 6, hkl 8 0 0
- 83.7 deg, d = 1.156 Å, I 18, hkl 6 6 2
- 86.4 deg, d = 1.126 Å, I 16, hkl 8 4 0

---

# 10
Structure and calculated X-ray powder pattern of Sm2InSn4 (DFT lattice parameters and positions (GGA-PBE); CuKα).
Intensities are scaled so that the largest is 100.

Atomic structure:
Cell lengths 4.4816, 4.4816, 9.9644 Å; angles 90.00, 90.00, 90.00 degrees
Space group P-4m2 (No. 115)
Symmetry-distinct sites (fractional):
Sm1 0.0000 0.5000 0.2488 (multiplicity 2)
In1 0.5000 0.5000 0.0000 (multiplicity 1)
Sn1 0.0000 0.0000 0.5000 (multiplicity 1)
Sn2 0.0000 0.5000 0.8034 (multiplicity 2)
Sn3 0.5000 0.5000 0.5000 (multiplicity 1)

Largest 10 diffraction maxima, by angle, 2θ = 10–90°:
- 26.8 deg, d = 3.327 Å, I 15, hkl 0 0 3
- 29.6 deg, d = 3.020 Å, I 8, hkl 1 1 1
- 33.5 deg, d = 2.674 Å, I 100, hkl 1 1 2
- 36.1 deg, d = 2.491 Å, I 14, hkl 0 0 4
- 40.2 deg, d = 2.241 Å, I 32, hkl 2 0 0
- 49.0 deg, d = 1.858 Å, I 9, hkl 2 0 3
- 55.1 deg, d = 1.666 Å, I 16, hkl 2 0 4
- 58.2 deg, d = 1.584 Å, I 11, hkl 2 2 0
- 68.9 deg, d = 1.363 Å, I 25, hkl 3 1 2
- 70.4 deg, d = 1.337 Å, I 8, hkl 2 2 4

---

# 11
Structure and calculated X-ray powder pattern of SmIn2Sn2 (DFT lattice parameters and positions (GGA-PBE); CuKα).
Intensities are scaled so that the largest is 100.

Atomic structure:
Cell lengths 4.4765, 26.4353, 4.5249 Å; angles 90.00, 90.00, 90.00 degrees
Space group Cmcm (No. 63)
Symmetry-distinct sites (fractional):
Sm1 0.0000 0.1536 0.2500 (multiplicity 4)
In1 0.0000 0.0519 0.7500 (multiplicity 4)
In2 0.0000 0.4514 0.7500 (multiplicity 4)
Sn1 0.0000 0.2502 0.7500 (multiplicity 4)
Sn2 0.0000 0.3558 0.2500 (multiplicity 4)

Largest 10 diffraction maxima, by angle, 2θ = 10–90°:
- 32.8 deg, d = 2.727 Å, I 100, hkl 1 5 1
- 33.9 deg, d = 2.644 Å, I 22, hkl 0 10 0
- 39.8 deg, d = 2.262 Å, I 15, hkl 0 0 2
- 40.3 deg, d = 2.238 Å, I 14, hkl 2 0 0
- 53.3 deg, d = 1.719 Å, I 12, hkl 0 10 2
- 53.7 deg, d = 1.708 Å, I 12, hkl 2 10 0
- 60.0 deg, d = 1.542 Å, I 16, hkl 1 15 1
- 67.9 deg, d = 1.380 Å, I 12, hkl 1 5 3
- 68.6 deg, d = 1.369 Å, I 12, hkl 3 5 1
- 68.9 deg, d = 1.363 Å, I 11, hkl 2 10 2

---

# 12
Structure and calculated X-ray powder pattern of SmIn3Sn3 (DFT lattice parameters and positions (GGA-PBE); CuKα).
Intensities are scaled so that the largest is 100.

Atomic structure:
Cell lengths 10.9008, 10.9120, 6.7377 Å; angles 90.00, 90.00, 90.00 degrees
Space group Cmmm (No. 65)
Symmetry-distinct sites (fractional):
Sm1 0.2152 0.0000 0.0000 (multiplicity 4)
In1 0.0000 0.1553 0.5000 (multiplicity 4)
In2 0.0000 0.2347 0.0000 (multiplicity 4)
In3 0.2418 0.5000 0.5000 (multiplicity 4)
Sn1 0.0000 0.5000 0.2343 (multiplicity 4)
Sn2 0.2500 0.2500 0.2651 (multiplicity 8)

Largest 10 diffraction maxima, by angle, 2θ = 10–90°:
- 25.8 deg, d = 3.450 Å, I 14, hkl 1 3 0
- 28.9 deg, d = 3.087 Å, I 14, hkl 1 1 2
- 29.1 deg, d = 3.070 Å, I 12, hkl 3 1 1
- 32.9 deg, d = 2.726 Å, I 56, hkl 4 0 0
- 34.9 deg, d = 2.571 Å, I 10, hkl 3 3 0
- 35.4 deg, d = 2.537 Å, I 100, hkl 2 2 2
- 36.8 deg, d = 2.439 Å, I 10, hkl 2 4 0
- 47.1 deg, d = 1.928 Å, I 14, hkl 4 4 0
- 60.3 deg, d = 1.535 Å, I 29, hkl 6 2 2
- 65.1 deg, d = 1.433 Å, I 17, hkl 4 0 4

---

# 13
Structure and calculated X-ray powder pattern of Sm3In2Sn2 (DFT lattice parameters and positions (GGA-PBE); CuKα).
Intensities are scaled so that the largest is 100.

Atomic structure:
Cell lengths 4.4253, 4.5197, 20.2871 Å; angles 90.00, 90.00, 90.00 degrees
Space group Immm (No. 71)
Symmetry-distinct sites (fractional):
Sm1 0.0000 0.0000 0.0000 (multiplicity 2)
Sm2 0.0000 0.5000 0.3144 (multiplicity 4)
In1 0.0000 0.0000 0.4326 (multiplicity 4)
Sn1 0.0000 0.5000 0.1572 (multiplicity 4)

Largest 10 diffraction maxima, by angle, 2θ = 10–90°:
- 26.4 deg, d = 3.381 Å, I 12, hkl 0 0 6
- 29.6 deg, d = 3.019 Å, I 100, hkl 1 1 2
- 33.4 deg, d = 2.683 Å, I 14, hkl 1 1 4
- 37.1 deg, d = 2.424 Å, I 25, hkl 1 0 7
- 39.0 deg, d = 2.309 Å, I 24, hkl 1 1 6
- 39.9 deg, d = 2.260 Å, I 20, hkl 0 2 0
- 40.8 deg, d = 2.213 Å, I 19, hkl 2 0 0
- 51.2 deg, d = 1.785 Å, I 10, hkl 2 1 5
- 55.6 deg, d = 1.653 Å, I 16, hkl 1 2 7
- 58.4 deg, d = 1.581 Å, I 13, hkl 2 2 0

---

# 14
Structure and calculated X-ray powder pattern of SrSm3In2 (DFT lattice parameters and positions (GGA-PBE); CuKα).
Intensities are scaled so that the largest is 100.

Atomic structure:
Cell lengths 5.5553, 9.6428, 7.0360 Å; angles 90.00, 90.00, 90.00 degrees
Space group Pmc2_1 (No. 26)
Symmetry-distinct sites (fractional):
Sr1 0.0000 0.0083 0.0000 (multiplicity 2)
Sm1 0.0000 0.3387 0.7389 (multiplicity 2)
Sm2 0.5000 0.1730 0.2593 (multiplicity 2)
Sm3 0.5000 0.4930 0.9975 (multiplicity 2)
In1 0.0000 0.3365 0.2476 (multiplicity 2)
In2 0.5000 0.1707 0.7508 (multiplicity 2)

Largest 10 diffraction maxima, by angle, 2θ = 10–90°:
- 25.3 deg, d = 3.518 Å, I 9, hkl 0 0 2
- 31.5 deg, d = 2.841 Å, I 91, hkl 0 2 2
- 32.2 deg, d = 2.781 Å, I 100, hkl 2 0 0
- 41.4 deg, d = 2.181 Å, I 15, hkl 2 0 2
- 45.7 deg, d = 1.987 Å, I 32, hkl 2 2 2
- 57.0 deg, d = 1.617 Å, I 33, hkl 3 1 2
- 57.4 deg, d = 1.605 Å, I 13, hkl 3 3 0
- 62.5 deg, d = 1.487 Å, I 28, hkl 2 0 4
- 76.2 deg, d = 1.249 Å, I 9, hkl 3 5 2
- 81.1 deg, d = 1.186 Å, I 13, hkl 3 3 4